No. 1
# NbP2O7
Simulated X-ray diffraction stick pattern, CuKα. Input: a structure optimized by DFT (PBE).
Kinematic intensities with the Lorentz-polarization factor, no thermal factor.

Atomic structure:
a = 8.4577 Å, b = 8.4577 Å, c = 8.4577 Å
α = 90.00°, β = 90.00°, γ = 90.00°
Space group Pa-3 (No. 205)
Symmetry-distinct sites (fractional):
Nb1 0.0000 0.0000 0.0000 (multiplicity 4)
P1 0.1081 0.6081 0.8919 (multiplicity 8)
O1 0.0000 0.0000 0.5000 (multiplicity 4)
O2 0.0592 0.7220 0.4235 (multiplicity 24)

Most intense lines, 10 to 90 degrees two-theta, by angle:
Position (°2θ)  I_rel
18.2  37
21.0  100
23.5  36
25.8  32
29.9  32
35.2  38

No. 2
# Nb2P4O15
Simulated X-ray diffraction stick pattern, CuKα. Input: a structure optimized by DFT (PBE).
Kinematic intensities with the Lorentz-polarization factor, no thermal factor.

Atomic structure:
a = 6.7903 Å, b = 8.5378 Å, c = 11.1809 Å
α = 74.34°, β = 89.83°, γ = 89.94°
Space group P1 (No. 1)
Symmetry-distinct sites (fractional):
Nb1 0.0000 0.0000 0.0000 (multiplicity 1)
Nb2 0.0232 0.9960 0.4927 (multiplicity 1)
Nb3 0.4962 0.5825 0.7902 (multiplicity 1)
Nb4 0.5216 0.5901 0.2942 (multiplicity 1)
P1 0.1427 0.3782 0.5145 (multiplicity 1)
P2 0.1954 0.6106 0.0420 (multiplicity 1)
P3 0.3195 0.9780 0.2398 (multiplicity 1)
P4 0.3721 0.2064 0.7595 (multiplicity 1)
P5 0.6407 0.2070 0.2742 (multiplicity 1)
P6 0.6979 0.9717 0.7498 (multiplicity 1)
P7 0.8213 0.6056 0.5478 (multiplicity 1)
P8 0.8721 0.3765 0.0279 (multiplicity 1)
O1 0.0465 0.2444 0.4681 (multiplicity 1)
O2 0.0459 0.4607 0.0838 (multiplicity 1)
O3 0.0785 0.7670 0.9976 (multiplicity 1)
O4 0.1588 0.0087 0.3266 (multiplicity 1)
O5 0.2352 0.9574 0.5813 (multiplicity 1)
O6 0.2358 0.0889 0.8416 (multiplicity 1)
O7 0.2421 0.9914 0.1094 (multiplicity 1)
O8 0.2543 0.5037 0.4215 (multiplicity 1)
O9 0.2750 0.2983 0.6310 (multiplicity 1)
O10 0.3146 0.6011 0.1583 (multiplicity 1)
O11 0.3172 0.6268 0.6762 (multiplicity 1)
O12 0.3200 0.5769 0.9378 (multiplicity 1)
O13 0.4331 0.8216 0.2935 (multiplicity 1)
O14 0.4655 0.3341 0.8147 (multiplicity 1)
O15 0.4669 0.1295 0.2142 (multiplicity 1)
O16 0.5462 0.3420 0.3203 (multiplicity 1)
O17 0.5494 0.1221 0.7060 (multiplicity 1)
O18 0.5788 0.8156 0.7889 (multiplicity 1)
O19 0.6713 0.5756 0.4550 (multiplicity 1)
O20 0.7231 0.6306 0.1954 (multiplicity 1)
O21 0.7311 0.5900 0.6753 (multiplicity 1)
O22 0.7404 0.4941 0.9426 (multiplicity 1)
O23 0.7546 0.0835 0.3672 (multiplicity 1)
O24 0.7672 0.2860 0.1542 (multiplicity 1)
O25 0.8118 0.0021 0.8589 (multiplicity 1)
O26 0.8276 0.9833 0.6368 (multiplicity 1)
O27 0.8299 0.9569 0.1199 (multiplicity 1)
O28 0.9343 0.7633 0.4985 (multiplicity 1)
O29 0.9695 0.2484 0.9746 (multiplicity 1)
O30 0.9710 0.4550 0.5779 (multiplicity 1)

Most intense lines, 10 to 90 degrees two-theta, by angle:
Position (°2θ)  I_rel
16.9  67
21.0  100
21.1  100
21.6  41
24.8  33
34.5  29

No. 3
# Nb9PO25
Simulated X-ray diffraction stick pattern, CuKα. Input: a structure optimized by DFT (PBE).
Kinematic intensities with the Lorentz-polarization factor, no thermal factor.

Atomic structure:
a = 22.4625 Å, b = 3.8920 Å, c = 15.8835 Å
α = 90.00°, β = 135.00°, γ = 90.00°
Space group C2 (No. 5)
Symmetry-distinct sites (fractional):
Nb1 0.0000 0.0000 0.0000 (multiplicity 2)
Nb2 0.1090 0.9601 0.8911 (multiplicity 4)
Nb3 0.1133 0.9544 0.4436 (multiplicity 4)
Nb4 0.1697 0.4687 0.7830 (multiplicity 4)
Nb5 0.2179 0.9609 0.3269 (multiplicity 4)
P1 0.0000 0.2116 0.5000 (multiplicity 2)
O1 0.0000 0.4699 0.0000 (multiplicity 2)
O2 0.0104 0.9591 0.2927 (multiplicity 4)
O3 0.0491 0.9623 0.9314 (multiplicity 4)
O4 0.0497 0.4287 0.6148 (multiplicity 4)
O5 0.0651 0.9945 0.5155 (multiplicity 4)
O6 0.1123 0.4590 0.8607 (multiplicity 4)
O7 0.1177 0.9620 0.1668 (multiplicity 4)
O8 0.1453 0.4665 0.4897 (multiplicity 4)
O9 0.1556 0.9566 0.8009 (multiplicity 4)
O10 0.1730 0.9680 0.3918 (multiplicity 4)
O11 0.2177 0.4642 0.7282 (multiplicity 4)
O12 0.2188 0.9553 0.0458 (multiplicity 4)
O13 0.2484 0.9636 0.6362 (multiplicity 4)

Most intense lines, 10 to 90 degrees two-theta, by angle:
Position (°2θ)  I_rel
17.7  33
23.5  51
25.1  100
30.7  47
43.4  25
52.0  24

Please write out number 1 again, unchanged.
# NbP2O7
Simulated X-ray diffraction stick pattern, CuKα. Input: a structure optimized by DFT (PBE).
Kinematic intensities with the Lorentz-polarization factor, no thermal factor.

Atomic structure:
a = 8.4577 Å, b = 8.4577 Å, c = 8.4577 Å
α = 90.00°, β = 90.00°, γ = 90.00°
Space group Pa-3 (No. 205)
Symmetry-distinct sites (fractional):
Nb1 0.0000 0.0000 0.0000 (multiplicity 4)
P1 0.1081 0.6081 0.8919 (multiplicity 8)
O1 0.0000 0.0000 0.5000 (multiplicity 4)
O2 0.0592 0.7220 0.4235 (multiplicity 24)

Most intense lines, 10 to 90 degrees two-theta, by angle:
Position (°2θ)  I_rel
18.2  37
21.0  100
23.5  36
25.8  32
29.9  32
35.2  38

Question: Number 3 is which compound?
Answer: Nb9PO25